Structure and computed powder X-ray diffraction pattern of YC2O6 (a structure optimized by DFT (GGA-PBE); a wavelength of 1.5418 Å).
Neutral-atom scattering factors, no anomalous dispersion.

Atomic structure:
abc: 8.531 8.531 9.656
angles: 90.00 90.00 125.59
Sites, in units of the cell vectors:
Y (0.199, 0.801, 0.750)
Y (0.211, 0.789, 0.250)
Y (0.789, 0.211, 0.750)
Y (0.801, 0.199, 0.250)
C (0.027, 0.580, 0.499)
C (0.099, 0.111, 0.741)
C (0.111, 0.099, 0.259)
C (0.420, 0.973, 0.001)
C (0.580, 0.027, 0.501)
C (0.889, 0.901, 0.759)
C (0.901, 0.889, 0.241)
C (0.973, 0.420, 0.999)
O (0.007, 0.508, 0.882)
O (0.023, 0.501, 0.119)
O (0.089, 0.251, 0.729)
O (0.102, 0.240, 0.259)
O (0.127, 0.768, 0.496)
O (0.232, 0.873, 0.004)
O (0.240, 0.102, 0.741)
O (0.251, 0.089, 0.271)
O (0.355, 0.645, 0.750)
O (0.373, 0.627, 0.250)
O (0.492, 0.993, 0.618)
O (0.499, 0.977, 0.381)
O (0.501, 0.023, 0.881)
O (0.508, 0.007, 0.118)
O (0.627, 0.373, 0.750)
O (0.645, 0.355, 0.250)
O (0.749, 0.911, 0.771)
O (0.760, 0.898, 0.241)
O (0.768, 0.127, 0.504)
O (0.873, 0.232, 0.996)
O (0.898, 0.760, 0.759)
O (0.911, 0.749, 0.229)
O (0.977, 0.499, 0.619)
O (0.993, 0.492, 0.382)

Peak list (10 most intense, 5° ≤ 2θ ≤ 70°, most intense first)
7.587 Å, I 100
4.828 Å, I 50
6.937 Å, I 34
2.817 Å, I 26
2.828 Å, I 19
4.244 Å, I 17
3.034 Å, I 16
1.981 Å, I 15
2.440 Å, I 13
2.087 Å, I 12